[1]
Structure and theoretical powder diffractogram of CeZnNi (DFT lattice parameters and positions (GGA-PBE); CuKα).

Principal peaks in the range 2θ = 5–70°, low angle first:
| 2θ (°) | d/Å | Rel. int. |
| --- | --- | --- |
| 29.1 | 3.067 | 177 |
| 34.6 | 2.595 | 1000 |
| 37.6 | 2.390 | 961 |
| 38.8 | 2.319 | 519 |
| 44.3 | 2.045 | 192 |
| 45.8 | 1.981 | 131 |
| 47.7 | 1.906 | 243 |
| 53.9 | 1.701 | 168 |
| 59.5 | 1.554 | 304 |
| 63.1 | 1.472 | 240 |

Cell and atoms:
Lattice parameters (Å, degrees): 7.0839 7.0839 3.8123 90.00 90.00 120.00
Space group P-62m (No. 189)
Inequivalent atoms, fractional coordinates:
Ce 0.0000 0.4158 0.0000 x3
Zn 0.0000 0.7612 0.5000 x3
Ni 0.0000 0.0000 0.0000 x1
Ni 0.3333 0.6667 0.5000 x2

[2]
Structure and theoretical powder diffractogram of Cs2NaAuF6 (DFT lattice parameters and positions (GGA-PBE); CuKα).

Principal peaks in the range 2θ = 5–70°, low angle first:
| 2θ (°) | d/Å | Rel. int. |
| --- | --- | --- |
| 16.9 | 5.241 | 354 |
| 27.8 | 3.210 | 1000 |
| 32.7 | 2.737 | 195 |
| 39.7 | 2.270 | 350 |
| 43.4 | 2.083 | 81 |
| 49.2 | 1.853 | 422 |
| 52.4 | 1.747 | 81 |
| 57.4 | 1.605 | 225 |
| 60.3 | 1.535 | 79 |
| 65.0 | 1.435 | 190 |

Cell and atoms:
Lattice parameters (Å, degrees): 9.079 9.079 9.079 90.00 90.00 90.00
Space group Fm-3m (No. 225)
Inequivalent atoms, fractional coordinates:
Cs 0.250 0.250 0.250 x8
Na 0.000 0.000 0.000 x4
Au 0.000 0.000 0.500 x4
F 0.000 0.000 0.261 x24

[3]
Structure and theoretical powder diffractogram of CsMg14Nb (DFT lattice parameters and positions (GGA-PBE); CuKα).

Principal peaks in the range 2θ = 5–70°, low angle first:
| 2θ (°) | d/Å | Rel. int. |
| --- | --- | --- |
| 8.4 | 10.490 | 740 |
| 15.9 | 5.576 | 210 |
| 16.9 | 5.245 | 194 |
| 18.0 | 4.924 | 321 |
| 31.5 | 2.837 | 286 |
| 32.1 | 2.789 | 225 |
| 34.2 | 2.623 | 364 |
| 36.0 | 2.495 | 1000 |
| 36.5 | 2.462 | 461 |
| 62.4 | 1.489 | 200 |

Cell and atoms:
Lattice parameters (Å, degrees): 10.490 6.590 11.152 90.00 90.00 90.00
Space group Amm2 (No. 38)
Inequivalent atoms, fractional coordinates:
Cs 0.000 0.000 0.000 x2
Mg 0.000 0.250 0.248 x4
Mg 0.241 0.000 0.659 x4
Mg 0.259 0.233 0.413 x8
Mg 0.269 0.000 0.171 x4
Mg 0.500 0.000 0.498 x2
Mg 0.500 0.000 0.995 x2
Mg 0.500 0.245 0.747 x4
Nb 0.000 0.000 0.487 x2

[4]
Structure and theoretical powder diffractogram of MgCu4Cl2O6 (DFT lattice parameters and positions (GGA-PBE); CuKα).

Principal peaks in the range 2θ = 5–70°, low angle first:
| 2θ (°) | d/Å | Rel. int. |
| --- | --- | --- |
| 17.6 | 5.040 | 1000 |
| 18.7 | 4.744 | 588 |
| 33.9 | 2.648 | 543 |
| 34.4 | 2.605 | 778 |
| 34.6 | 2.596 | 383 |
| 35.6 | 2.522 | 273 |
| 37.9 | 2.372 | 316 |
| 41.9 | 2.154 | 503 |
| 42.1 | 2.145 | 994 |
| 59.4 | 1.556 | 604 |

Cell and atoms:
Lattice parameters (Å, degrees): 10.165 6.222 5.935 90.00 122.03 90.00
Space group C2/m (No. 12)
Inequivalent atoms, fractional coordinates:
Mg 0.000 0.000 0.000 x2
Cu 0.000 0.500 0.000 x2
Cu 0.000 0.500 0.500 x2
Cu 0.250 0.250 0.500 x4
Cl 0.198 0.000 0.802 x4
O 0.036 0.288 0.253 x8
O 0.250 0.000 0.323 x4

[5]
Structure and theoretical powder diffractogram of CeAg3 (DFT lattice parameters and positions (GGA-PBE); CuKα).

Principal peaks in the range 2θ = 5–70°, low angle first:
| 2θ (°) | d/Å | Rel. int. |
| --- | --- | --- |
| 24.0 | 3.710 | 36 |
| 31.5 | 2.840 | 248 |
| 36.6 | 2.457 | 1000 |
| 36.7 | 2.449 | 233 |
| 42.1 | 2.147 | 35 |
| 49.1 | 1.855 | 139 |
| 51.8 | 1.766 | 37 |
| 56.1 | 1.640 | 165 |
| 66.0 | 1.416 | 167 |
| 68.9 | 1.363 | 295 |

Cell and atoms:
Lattice parameters (Å, degrees): 6.5595 6.5595 4.8984 90.00 90.00 120.00
Space group P6_3/mmc (No. 194)
Inequivalent atoms, fractional coordinates:
Ce 0.3333 0.6667 0.2500 x2
Ag 0.1507 0.3014 0.7500 x6